Structure and simulated XRD peak list of SrAc2Ge3Pt4 (a crystal structure in Alexandria, relaxed with GGA-PBE; Cu Kα (λ = 1.5418 Å)).
Kinematic intensities with the Lorentz-polarization factor, no thermal factor.

Largest 10 diffraction maxima, sorted by position, 2θ from 5° to 70°:
2θ (°)  d_spacing  I (rel.)
7.78  11.369  22
25.26  3.526  14
30.86  2.897  21
32.27  2.774  100
37.44  2.402  22
40.13  2.247  49
44.66  2.029  14
56.04  1.641  14
58.05  1.589  17
67.99  1.379  29

Structure:
Cell lengths 4.4942, 4.4942, 11.3695 Å; angles 90.00, 90.00, 90.00 degrees
Space group P-4m2 (No. 115)
Unique sites:
Sr 0.0000 0.0000 0.0000 x1
Ac 0.0000 0.5000 0.7249 x2
Ge 0.0000 0.5000 0.3891 x2
Ge 0.5000 0.5000 0.0000 x1
Pt 0.0000 0.0000 0.5000 x1
Pt 0.0000 0.5000 0.1700 x2
Pt 0.5000 0.5000 0.5000 x1



Structure and simulated XRD peak list of AcThGe2Pt5 (a crystal structure in Alexandria, relaxed with GGA-PBE; Cu Kα (λ = 1.5418 Å)).
Kinematic intensities with the Lorentz-polarization factor, no thermal factor.

Largest 10 diffraction maxima, sorted by position, 2θ from 5° to 70°:
2θ (°)  d_spacing  I (rel.)
10.04  8.809  4
28.26  3.158  7
34.63  2.590  100
36.47  2.464  5
39.80  2.265  44
40.98  2.202  13
41.73  2.164  6
57.56  1.601  15
58.46  1.579  19
68.94  1.362  28

Structure:
Cell lengths 4.5294, 4.5294, 8.8089 Å; angles 90.00, 90.00, 90.00 degrees
Space group P4/mmm (No. 123)
Unique sites:
Ac 0.0000 0.0000 0.0000 x1
Th 0.0000 0.0000 0.5000 x1
Ge 0.5000 0.5000 0.3581 x2
Pt 0.0000 0.5000 0.2425 x4
Pt 0.5000 0.5000 0.0000 x1



Structure and simulated XRD peak list of AcYGe2Pt5 (a crystal structure in Alexandria, relaxed with GGA-PBE; Cu Kα (λ = 1.5418 Å)).
Kinematic intensities with the Lorentz-polarization factor, no thermal factor.

Largest 10 diffraction maxima, sorted by position, 2θ from 5° to 70°:
2θ (°)  d_spacing  I (rel.)
9.84  8.990  19
19.75  4.495  5
34.88  2.572  100
40.12  2.247  14
40.69  2.218  43
41.69  2.167  13
49.92  1.827  4
58.47  1.579  18
58.90  1.568  15
69.53  1.352  15

Structure:
Cell lengths 4.4352, 4.4352, 8.9898 Å; angles 90.00, 90.00, 90.00 degrees
Space group P4/mmm (No. 123)
Unique sites:
Ac 0.0000 0.0000 0.0000 x1
Y 0.0000 0.0000 0.5000 x1
Ge 0.5000 0.5000 0.3634 x2
Pt 0.0000 0.5000 0.2420 x4
Pt 0.5000 0.5000 0.0000 x1



Structure and simulated XRD peak list of Ac3ZnGe2Pt6 (a crystal structure in Alexandria, relaxed with GGA-PBE; Cu Kα (λ = 1.5418 Å)).
Kinematic intensities with the Lorentz-polarization factor, no thermal factor.

Largest 10 diffraction maxima, sorted by position, 2θ from 5° to 70°:
2θ (°)  d_spacing  I (rel.)
9.07  9.750  36
19.89  4.464  22
27.44  3.250  27
32.83  2.728  26
36.05  2.492  48
36.98  2.431  100
40.42  2.232  78
41.17  2.193  38
61.97  1.497  23
64.27  1.449  29

Structure:
Cell lengths 5.7974, 5.7974, 9.7501 Å; angles 90.00, 90.00, 120.00 degrees
Space group P-3m1 (No. 164)
Unique sites:
Ac 0.0000 0.0000 0.0000 x1
Ac 0.3333 0.6667 0.6038 x2
Zn 0.0000 0.0000 0.5000 x1
Ge 0.3333 0.6667 0.0968 x2
Pt 0.1640 0.3281 0.2877 x6



Structure and simulated XRD peak list of AcZnGePt2 (a crystal structure in Alexandria, relaxed with GGA-PBE; Cu Kα (λ = 1.5418 Å)).
Kinematic intensities with the Lorentz-polarization factor, no thermal factor.

Largest 10 diffraction maxima, sorted by position, 2θ from 5° to 70°:
2θ (°)  d_spacing  I (rel.)
28.50  3.132  55
32.32  2.770  100
33.19  2.699  44
40.75  2.214  58
44.68  2.028  15
47.36  1.919  28
52.94  1.730  51
58.99  1.566  20
59.90  1.544  12
64.22  1.450  23

Structure:
Cell lengths 4.4290, 4.4290, 10.6490 Å; angles 90.00, 90.00, 90.00 degrees
Space group I-4m2 (No. 119)
Unique sites:
Ac 0.0000 0.0000 0.0000 x2
Zn 0.0000 0.5000 0.2500 x2
Ge 0.0000 0.5000 0.7500 x2
Pt 0.0000 0.0000 0.3713 x4



Structure and simulated XRD peak list of Ac5Pu2Ge4 (a crystal structure in Alexandria, relaxed with GGA-PBE; Cu Kα (λ = 1.5418 Å)).
Kinematic intensities with the Lorentz-polarization factor, no thermal factor.

Largest 10 diffraction maxima, sorted by position, 2θ from 5° to 70°:
2θ (°)  d_spacing  I (rel.)
8.39  10.533  48
13.54  6.541  26
25.92  3.437  36
27.36  3.260  72
28.02  3.184  36
28.09  3.177  47
31.96  2.800  100
33.83  2.650  25
39.52  2.281  59
46.05  1.971  28

Structure:
Cell lengths 21.0750, 3.9420, 8.1530 Å; angles 90.00, 91.72, 90.00 degrees
Space group C2/m (No. 12)
Unique sites:
Ac 0.0000 0.0000 0.0000 x2
Ac 0.1298 0.5000 0.6709 x4
Ac 0.1757 0.5000 0.1250 x4
Pu 0.2374 0.0000 0.4339 x4
Ge 0.0232 0.5000 0.3425 x4
Ge 0.0996 0.0000 0.3628 x4



Structure and simulated XRD peak list of AcPu5Ge6 (a crystal structure in Alexandria, relaxed with GGA-PBE; Cu Kα (λ = 1.5418 Å)).
Kinematic intensities with the Lorentz-polarization factor, no thermal factor.

Largest 10 diffraction maxima, sorted by position, 2θ from 5° to 70°:
2θ (°)  d_spacing  I (rel.)
21.56  4.121  20
26.50  3.363  25
34.42  2.606  100
37.83  2.378  39
43.95  2.060  26
52.05  1.757  9
54.57  1.682  13
59.35  1.557  27
61.67  1.504  5
66.13  1.413  30

Structure:
Cell lengths 4.7559, 14.2704, 8.2422 Å; angles 90.00, 90.00, 90.00 degrees
Space group Cmmm (No. 65)
Unique sites:
Ac 0.0000 0.0000 0.0000 x2
Pu 0.0000 0.0000 0.5000 x2
Pu 0.0000 0.3246 0.0000 x4
Pu 0.0000 0.3347 0.5000 x4
Ge 0.0000 0.1717 0.2567 x8
Ge 0.0000 0.5000 0.2601 x4



Structure and simulated XRD peak list of Ac3Pu2Ge3 (a crystal structure in Alexandria, relaxed with GGA-PBE; Cu Kα (λ = 1.5418 Å)).
Kinematic intensities with the Lorentz-polarization factor, no thermal factor.

Largest 10 diffraction maxima, sorted by position, 2θ from 5° to 70°:
2θ (°)  d_spacing  I (rel.)
7.43  11.905  18
21.63  4.109  19
30.02  2.976  23
32.15  2.784  100
37.35  2.408  19
43.45  2.082  12
48.64  1.872  13
54.68  1.679  16
58.61  1.575  11
64.11  1.453  14

Structure:
Cell lengths 4.1650, 4.8158, 23.8097 Å; angles 90.00, 90.00, 90.00 degrees
Space group Immm (No. 71)
Unique sites:
Ac 0.0000 0.0000 0.0000 x2
Ac 0.0000 0.5000 0.1209 x4
Pu 0.0000 0.0000 0.2554 x4
Ge 0.0000 0.0000 0.5000 x2
Ge 0.0000 0.5000 0.3386 x4



Structure and simulated XRD peak list of RbAcGeS4 (a crystal structure in Alexandria, relaxed with GGA-PBE; Cu Kα (λ = 1.5418 Å)).
Kinematic intensities with the Lorentz-polarization factor, no thermal factor.

Largest 10 diffraction maxima, sorted by position, 2θ from 5° to 70°:
2θ (°)  d_spacing  I (rel.)
9.94  8.896  100
16.39  5.409  29
18.70  4.745  50
23.89  3.724  32
24.45  3.640  35
26.16  3.407  47
28.65  3.115  26
30.23  2.956  49
31.58  2.833  38
37.92  2.373  41

Structure:
Cell lengths 6.9029, 6.8131, 9.2852 Å; angles 90.00, 106.65, 90.00 degrees
Space group P2_1/m (No. 11)
Unique sites:
Rb 0.2291 0.2500 0.4352 x2
Ac 0.2632 0.2500 0.9470 x2
Ge 0.2870 0.7500 0.1823 x2
S 0.0900 0.7500 0.3323 x2
S 0.1069 0.7500 0.9384 x2
S 0.4979 0.0054 0.2179 x4



Structure and simulated XRD peak list of Ac5Ge5Rh2 (a crystal structure in Alexandria, relaxed with GGA-PBE; Cu Kα (λ = 1.5418 Å)).
Kinematic intensities with the Lorentz-polarization factor, no thermal factor.

Largest 10 diffraction maxima, sorted by position, 2θ from 5° to 70°:
2θ (°)  d_spacing  I (rel.)
24.68  3.607  28
26.83  3.322  26
29.41  3.037  100
31.58  2.833  51
31.69  2.823  34
32.26  2.775  48
34.18  2.624  38
38.26  2.352  53
41.02  2.200  38
52.68  1.738  26

Structure:
Cell lengths 16.1276, 4.4009, 11.9215 Å; angles 90.00, 128.68, 90.00 degrees
Space group C2/m (No. 12)
Unique sites:
Ac 0.0000 0.0000 0.0000 x2
Ac 0.1221 0.5000 0.8184 x4
Ac 0.1974 0.5000 0.5853 x4
Ge 0.0000 0.0000 0.5000 x2
Ge 0.0617 0.0000 0.3204 x4
Ge 0.2022 0.5000 0.1461 x4
Rh 0.1140 0.5000 0.2647 x4



Structure and simulated XRD peak list of Ac2Ge2Rh3 (a crystal structure in Alexandria, relaxed with GGA-PBE; Cu Kα (λ = 1.5418 Å)).
Kinematic intensities with the Lorentz-polarization factor, no thermal factor.

Largest 10 diffraction maxima, sorted by position, 2θ from 5° to 70°:
2θ (°)  d_spacing  I (rel.)
24.12  3.689  14
30.46  2.935  25
32.34  2.768  90
33.60  2.667  100
37.49  2.399  16
41.25  2.189  33
42.13  2.145  32
52.87  1.732  11
54.08  1.696  16
60.43  1.532  21

Structure:
Cell lengths 4.2901, 19.1912, 7.3780 Å; angles 90.00, 90.00, 90.00 degrees
Space group Cmcm (No. 63)
Unique sites:
Ac 0.0000 0.0566 0.2500 x4
Ac 0.0000 0.1547 0.7500 x4
Ge 0.0000 0.3119 0.5641 x8
Rh 0.0000 0.2206 0.2500 x4
Rh 0.0000 0.4355 0.0607 x8



Structure and simulated XRD peak list of Ac3Ge9Rh2 (a crystal structure in Alexandria, relaxed with GGA-PBE; Cu Kα (λ = 1.5418 Å)).
Kinematic intensities with the Lorentz-polarization factor, no thermal factor.

Largest 10 diffraction maxima, sorted by position, 2θ from 5° to 70°:
2θ (°)  d_spacing  I (rel.)
21.79  4.078  17
22.71  3.916  16
29.52  3.026  23
31.59  2.832  44
32.22  2.778  51
33.71  2.659  100
41.19  2.191  36
43.25  2.092  14
53.24  1.721  25
58.34  1.582  21

Structure:
Cell lengths 4.3825, 11.1318, 12.5499 Å; angles 90.00, 90.00, 90.00 degrees
Space group Immm (No. 71)
Unique sites:
Ac 0.0000 0.0000 0.0000 x2
Ac 0.0000 0.0000 0.3172 x4
Ge 0.0000 0.2803 0.1217 x8
Ge 0.0000 0.3629 0.3388 x8
Ge 0.0000 0.5000 0.0000 x2
Rh 0.0000 0.2249 0.5000 x4



Structure and simulated XRD peak list of Ac3GeRh2 (a crystal structure in Alexandria, relaxed with GGA-PBE; Cu Kα (λ = 1.5418 Å)).
Kinematic intensities with the Lorentz-polarization factor, no thermal factor.

Largest 10 diffraction maxima, sorted by position, 2θ from 5° to 70°:
2θ (°)  d_spacing  I (rel.)
26.32  3.387  100
36.88  2.437  56
38.23  2.354  44
45.87  1.978  21
49.29  1.849  8
53.06  1.726  15
54.16  1.693  16
60.25  1.536  18
66.41  1.408  17
67.33  1.391  15

Structure:
Cell lengths 8.4429, 8.4429, 17.0195 Å; angles 90.00, 90.00, 120.00 degrees
Space group R-3c (No. 167, hexagonal axes)
Unique sites:
Ac 0.0000 0.3163 0.2500 x18
Ge 0.0000 0.0000 0.0000 x6
Rh 0.0000 0.0000 0.1618 x12